# 1
CsErSnSe3: computed XRD peak list (Cu Kα (weighted mean of Kα1 and Kα2)), based on a DFT-relaxed cell (GGA-PBE, Alexandria).

Peak list (12 most intense, 10 to 90 degrees two-theta, by angle)
2θ/deg	I/Imax
17.86	42
21.16	27
26.29	100
27.36	27
29.98	78
33.12	37
36.48	23
40.28	70
44.03	24
45.27	35
50.90	21
54.18	26

Atomic structure:
```
data_CsErSnSe3
_chemical_formula_sum 'Cs2 Er2 Sn2 Se6'
_symmetry_space_group_name_H-M 'P 1'
_symmetry_Int_Tables_number 1
_cell_length_a 9.206
_cell_length_b 9.206
_cell_length_c 11.924
_cell_angle_alpha 90.00
_cell_angle_beta 90.00
_cell_angle_gamma 154.18
loop_
_symmetry_equiv_pos_as_xyz
'x,y,z'
loop_
_atom_site_label
_atom_site_type_symbol
_atom_site_fract_x
_atom_site_fract_y
_atom_site_fract_z
_atom_site_occupancy
Cs1 Cs 0.198 0.802 0.750 1
Cs2 Cs 0.802 0.198 0.250 1
Er1 Er 0.500 0.500 0.000 1
Er2 Er 0.500 0.500 0.500 1
Sn1 Sn 0.106 0.894 0.250 1
Sn2 Sn 0.894 0.106 0.750 1
Se1 Se 0.108 0.892 0.005 1
Se2 Se 0.108 0.892 0.495 1
Se3 Se 0.497 0.503 0.750 1
Se4 Se 0.503 0.497 0.250 1
Se5 Se 0.892 0.108 0.505 1
Se6 Se 0.892 0.108 0.995 1
```


# 2
Cs3Er3USe8: computed XRD peak list (Cu Kα (weighted mean of Kα1 and Kα2)), based on a DFT-relaxed cell (GGA-PBE, Alexandria).

Peak list (12 most intense, 10 to 90 degrees two-theta, by angle)
2θ/deg	I/Imax
10.38	43
20.85	12
25.54	12
28.30	100
34.87	16
37.52	33
43.25	48
52.48	18
56.43	10
70.26	15
79.31	11
82.00	10

Atomic structure:
```
data_Cs3Er3USe8
_chemical_formula_sum 'Cs3 Er3 U1 Se8'
_symmetry_space_group_name_H-M 'P 1'
_symmetry_Int_Tables_number 1
_cell_length_a 9.796
_cell_length_b 9.796
_cell_length_c 9.796
_cell_angle_alpha 50.59
_cell_angle_beta 50.59
_cell_angle_gamma 50.59
loop_
_symmetry_equiv_pos_as_xyz
'x,y,z'
loop_
_atom_site_label
_atom_site_type_symbol
_atom_site_fract_x
_atom_site_fract_y
_atom_site_fract_z
_atom_site_occupancy
Cs1 Cs 0.000 0.500 0.500 1
Cs2 Cs 0.500 0.000 0.500 1
Cs3 Cs 0.500 0.500 0.000 1
Er1 Er 0.000 0.000 0.500 1
Er2 Er 0.000 0.500 0.000 1
Er3 Er 0.500 0.000 0.000 1
U1 U 0.500 0.500 0.500 1
Se1 Se 0.227 0.227 0.227 1
Se2 Se 0.228 0.727 0.727 1
Se3 Se 0.273 0.273 0.772 1
Se4 Se 0.273 0.772 0.273 1
Se5 Se 0.727 0.228 0.727 1
Se6 Se 0.727 0.727 0.228 1
Se7 Se 0.772 0.273 0.273 1
Se8 Se 0.773 0.773 0.773 1
```


# 3
Cs3Er3VSe8: computed XRD peak list (Cu Kα (weighted mean of Kα1 and Kα2)), based on a DFT-relaxed cell (GGA-PBE, Alexandria).

Peak list (12 most intense, 10 to 90 degrees two-theta, by angle)
2θ/deg	I/Imax
10.33	34
14.33	13
20.75	11
28.90	100
35.31	14
37.91	30
43.61	13
44.52	34
53.95	16
56.56	12
72.45	13
82.59	11

Atomic structure:
```
data_Cs3Er3VSe8
_chemical_formula_sum 'Cs3 Er3 V1 Se8'
_symmetry_space_group_name_H-M 'P 1'
_symmetry_Int_Tables_number 1
_cell_length_a 9.765
_cell_length_b 9.765
_cell_length_c 9.765
_cell_angle_alpha 49.27
_cell_angle_beta 49.27
_cell_angle_gamma 49.27
loop_
_symmetry_equiv_pos_as_xyz
'x,y,z'
loop_
_atom_site_label
_atom_site_type_symbol
_atom_site_fract_x
_atom_site_fract_y
_atom_site_fract_z
_atom_site_occupancy
Cs1 Cs 0.000 0.500 0.500 1
Cs2 Cs 0.500 0.000 0.500 1
Cs3 Cs 0.500 0.500 0.000 1
Er1 Er 0.000 0.000 0.500 1
Er2 Er 0.000 0.500 0.000 1
Er3 Er 0.500 0.000 0.000 1
V1 V 0.500 0.500 0.500 1
Se1 Se 0.229 0.229 0.229 1
Se2 Se 0.251 0.711 0.711 1
Se3 Se 0.289 0.289 0.749 1
Se4 Se 0.289 0.749 0.289 1
Se5 Se 0.711 0.251 0.711 1
Se6 Se 0.711 0.711 0.251 1
Se7 Se 0.749 0.289 0.289 1
Se8 Se 0.771 0.771 0.771 1
```


# 4
Cs3Er2TmTe6: computed XRD peak list (Cu Kα (weighted mean of Kα1 and Kα2)), based on a DFT-relaxed cell (GGA-PBE, Alexandria).

Peak list (12 most intense, 10 to 90 degrees two-theta, by angle)
2θ/deg	I/Imax
26.39	100
32.76	12
35.32	32
39.88	37
43.86	8
48.46	19
53.40	7
54.32	9
58.15	8
64.50	16
69.48	9
76.81	8

Atomic structure:
```
data_Cs3Er2TmTe6
_chemical_formula_sum 'Cs3 Er2 Tm1 Te6'
_symmetry_space_group_name_H-M 'P 1'
_symmetry_Int_Tables_number 1
_cell_length_a 7.830
_cell_length_b 7.830
_cell_length_c 9.283
_cell_angle_alpha 98.08
_cell_angle_beta 98.08
_cell_angle_gamma 120.00
loop_
_symmetry_equiv_pos_as_xyz
'x,y,z'
loop_
_atom_site_label
_atom_site_type_symbol
_atom_site_fract_x
_atom_site_fract_y
_atom_site_fract_z
_atom_site_occupancy
Cs1 Cs 0.000 0.000 0.000 1
Cs2 Cs 0.333 0.667 0.000 1
Cs3 Cs 0.667 0.333 0.000 1
Er1 Er 0.167 0.833 0.500 1
Er2 Er 0.833 0.167 0.500 1
Tm1 Tm 0.500 0.500 0.500 1
Te1 Te 0.105 0.437 0.312 1
Te2 Te 0.230 0.230 0.688 1
Te3 Te 0.437 0.105 0.312 1
Te4 Te 0.563 0.895 0.688 1
Te5 Te 0.770 0.770 0.312 1
Te6 Te 0.895 0.563 0.688 1
```